Calculated X-ray diffraction stick pattern
Compound: CsUCuS3
Radiation: Cu Kα X-rays
Structure: a DFT-relaxed cell (GGA-PBE, the Materials Project)
No peak broadening, texture or thermal motion is included.

Main lines, low angle first (5° ≤ 2θ ≤ 70°):
2θ (°), I (rel.)
11.4, 100.0
20.7, 98.4
23.0, 77.8
28.2, 38.5
28.8, 63.8
29.5, 53.9
33.2, 58.6
34.7, 40.8
40.8, 56.3
42.0, 48.9
45.3, 40.0
50.3, 34.2

```
CsUCuS3
1.0
2.0000 -7.7512 0.0000
2.0000 7.7512 0.0000
0.0000 0.0000 10.3288
Cs U Cu S
2 2 2 6
Direct
0.2405 0.7595 0.7500
0.7595 0.2405 0.2500
0.5000 0.5000 0.0000
0.5000 0.5000 0.5000
0.0338 0.9662 0.2500
0.9662 0.0338 0.7500
0.1119 0.8881 0.0592
0.1119 0.8881 0.4408
0.4482 0.5518 0.2500
0.5518 0.4482 0.7500
0.8881 0.1119 0.5592
0.8881 0.1119 0.9408
```